# 1
Calculated powder XRD pattern of NaPaCl14 for λ = 1.5418 Å (Cu Kα), from DFT lattice parameters and positions (GGA-PBE).

The 8 most intense peaks (10 to 80 degrees two-theta), by intensity:
| h k l | two_theta | I (rel.) |
| --- | --- | --- |
| 0 1 1 | 16.9 | 100.0 |
| 1 0 0 | 13.3 | 81.1 |
| 1 0 -2 | 17.2 | 71.5 |
| 0 0 2 | 14.7 | 49.2 |
| 1 -1 1 | 17.5 | 45.3 |
| 1 0 -1 | 13.5 | 43.6 |
| -1 1 1 | 17.8 | 42.8 |
| 1 1 -1 | 20.2 | 41.1 |

Structural model:
```
data_NaPaCl14
_chemical_formula_sum 'Na1 Pa1 Cl14'
_cell_length_a 7.0540
_cell_length_b 7.0693
_cell_length_c 12.7691
_cell_angle_alpha 102.72
_cell_angle_beta 100.96
_cell_angle_gamma 102.87
_symmetry_space_group_name_H-M 'P 1'
_symmetry_Int_Tables_number 1
loop_
_symmetry_equiv_pos_as_xyz
'x,y,z'
loop_
_atom_site_label
_atom_site_fract_x
_atom_site_fract_y
_atom_site_fract_z
_atom_site_occupancy
Na1 0.0000 0.0000 0.0000 1
Pa1 0.6804 0.3799 0.8818 1
Cl1 0.0026 0.6055 0.8629 1
Cl2 0.0683 0.0438 0.2504 1
Cl3 0.1217 0.8214 0.6222 1
Cl4 0.2756 0.6087 0.6379 1
Cl5 0.2915 0.9539 0.1634 1
Cl6 0.3522 0.1712 0.9034 1
Cl7 0.3880 0.5339 0.3213 1
Cl8 0.5010 0.3666 0.6806 1
Cl9 0.6037 0.7047 0.9722 1
Cl10 0.6035 0.8098 0.3378 1
Cl11 0.7763 0.0633 0.7943 1
Cl12 0.8234 0.1432 0.3396 1
Cl13 0.8607 0.7836 0.4695 1
Cl14 0.8682 0.3604 0.0690 1
```

=====

# 2
Calculated powder XRD pattern of Nd2MgS4 for λ = 1.5418 Å (Cu Kα), from DFT lattice parameters and positions (GGA-PBE).

The 8 most intense peaks (10 to 80 degrees two-theta), by intensity:
| h k l | two_theta | I (rel.) |
| --- | --- | --- |
| 1 1 2 | 22.0 | 100.0 |
| 2 0 4 | 37.1 | 81.5 |
| 1 1 3 | 26.2 | 78.7 |
| 1 3 2 | 41.6 | 61.7 |
| 1 1 1 | 19.1 | 60.3 |
| 2 0 0 | 26.6 | 43.3 |
| 0 2 1 | 25.2 | 41.9 |
| 3 1 3 | 46.8 | 41.8 |

Structural model:
```
data_Nd2MgS4
_chemical_formula_sum 'Nd8 Mg4 S16'
_cell_length_a 6.6909
_cell_length_b 7.2913
_cell_length_c 14.0559
_cell_angle_alpha 90.00
_cell_angle_beta 90.00
_cell_angle_gamma 90.00
_symmetry_space_group_name_H-M 'P b c a'
_symmetry_Int_Tables_number 61
loop_
_symmetry_equiv_pos_as_xyz
'x,y,z'
'-x,-y,-z'
'-x+1/2,-y,z+1/2'
'x+1/2,y,-z+1/2'
'x+1/2,-y+1/2,-z'
'-x+1/2,y+1/2,z'
'-x,y+1/2,-z+1/2'
'x,-y+1/2,z+1/2'
loop_
_atom_site_label
_atom_site_fract_x
_atom_site_fract_y
_atom_site_fract_z
_atom_site_occupancy
Nd1 0.0046 0.1007 0.1424 1
Mg1 0.0000 0.0000 0.5000 1
S1 0.1189 0.5344 0.8209 1
S2 0.1867 0.6882 0.5405 1
```

=====

# 3
Calculated powder XRD pattern of Sm8TmSc3 for λ = 1.5418 Å (Cu Kα), from DFT lattice parameters and positions (GGA-PBE).

The 8 most intense peaks (10 to 80 degrees two-theta), by intensity:
| h k l | two_theta | I (rel.) |
| --- | --- | --- |
| 2 2 0 | 33.4 | 100.0 |
| 2 0 0 | 23.5 | 28.9 |
| 4 2 4 | 59.7 | 24.6 |
| 0 0 4 | 23.3 | 14.6 |
| 2 2 4 | 41.2 | 13.3 |
| 2 2 8 | 59.5 | 12.3 |
| 4 2 0 | 54.1 | 12.1 |
| 4 0 0 | 48.0 | 11.9 |

Structural model:
```
data_Sm8TmSc3
_chemical_formula_sum 'Sm16 Tm2 Sc6'
_cell_length_a 7.5800
_cell_length_b 7.5800
_cell_length_c 15.2429
_cell_angle_alpha 90.00
_cell_angle_beta 90.00
_cell_angle_gamma 90.00
_symmetry_space_group_name_H-M 'I 4/m m m'
_symmetry_Int_Tables_number 139
_symmetry_space_group_name_Hall '-I 4 2'
loop_
_atom_site_label
_atom_site_fract_x
_atom_site_fract_y
_atom_site_fract_z
_atom_site_occupancy
Sm1 0.2464 0.2464 0.1278 1
Tm1 0.0000 0.0000 0.5000 1
Sc1 0.0000 0.0000 0.0000 1
Sc2 0.0000 0.5000 0.2500 1
```

=====

# 4
Calculated powder XRD pattern of Pr2HoGa6 for λ = 1.5418 Å (Cu Kα), from DFT lattice parameters and positions (GGA-PBE).

The 8 most intense peaks (10 to 80 degrees two-theta), by intensity:
| h k l | two_theta | I (rel.) |
| --- | --- | --- |
| 1 1 1 | 32.0 | 100.0 |
| 3 0 0 | 42.4 | 54.6 |
| 3 0 2 | 61.5 | 26.7 |
| 2 2 1 | 54.1 | 22.5 |
| 4 1 1 | 71.1 | 19.6 |
| 1 1 0 | 24.1 | 11.7 |
| 1 1 3 | 70.9 | 9.9 |
| 3 3 0 | 77.6 | 6.7 |

Structural model:
```
data_Pr2HoGa6
_chemical_formula_sum 'Pr2 Ho1 Ga6'
_cell_length_a 7.3845
_cell_length_b 7.3845
_cell_length_c 4.2718
_cell_angle_alpha 90.00
_cell_angle_beta 90.00
_cell_angle_gamma 120.00
_symmetry_space_group_name_H-M 'P 6/m m m'
_symmetry_Int_Tables_number 191
_symmetry_space_group_name_Hall '-P 6 2'
loop_
_atom_site_label
_atom_site_fract_x
_atom_site_fract_y
_atom_site_fract_z
_atom_site_occupancy
Pr1 0.3333 0.6667 0.0000 1
Ho1 0.0000 0.0000 0.0000 1
Ga1 0.0000 0.3315 0.5000 1
```

=====

# 5
Calculated powder XRD pattern of InHg2Pd4 for λ = 1.5418 Å (Cu Kα), from DFT lattice parameters and positions (GGA-PBE).

The 8 most intense peaks (10 to 80 degrees two-theta), by intensity:
| h k l | two_theta | I (rel.) |
| --- | --- | --- |
| 2 0 2 | 38.5 | 100.0 |
| 2 2 0 | 42.6 | 37.5 |
| 4 2 2 | 75.2 | 27.9 |
| 1 1 0 | 20.9 | 20.1 |
| 2 2 4 | 66.7 | 19.6 |
| 1 1 2 | 31.9 | 14.7 |
| 0 0 4 | 48.8 | 12.6 |
| 4 0 0 | 61.8 | 12.4 |

Structural model:
```
data_InHg2Pd4
_chemical_formula_sum 'In2 Hg4 Pd8'
_cell_length_a 6.0026
_cell_length_b 6.0026
_cell_length_c 7.4660
_cell_angle_alpha 90.00
_cell_angle_beta 90.00
_cell_angle_gamma 90.00
_symmetry_space_group_name_H-M 'I 4/m m m'
_symmetry_Int_Tables_number 139
_symmetry_space_group_name_Hall '-I 4 2'
loop_
_atom_site_label
_atom_site_fract_x
_atom_site_fract_y
_atom_site_fract_z
_atom_site_occupancy
In1 0.0000 0.0000 0.0000 1
Hg1 0.0000 0.5000 0.0000 1
Pd1 0.2500 0.2500 0.2500 1
```

=====

# 6
Calculated powder XRD pattern of Ba6Na2IrN for λ = 1.5418 Å (Cu Kα), from DFT lattice parameters and positions (GGA-PBE).

The 8 most intense peaks (10 to 80 degrees two-theta), by intensity:
| h k l | two_theta | I (rel.) |
| --- | --- | --- |
| 2 0 2 | 25.5 | 100.0 |
| 2 2 0 | 30.4 | 83.4 |
| 1 1 0 | 15.1 | 77.1 |
| 2 2 4 | 41.5 | 66.9 |
| 0 0 4 | 27.5 | 53.6 |
| 0 0 2 | 13.6 | 48.3 |
| 4 0 4 | 52.3 | 32.2 |
| 2 1 1 | 24.9 | 31.9 |

Structural model:
```
data_Ba6Na2IrN
_chemical_formula_sum 'Ba12 Na4 Ir2 N2'
_cell_length_a 8.3033
_cell_length_b 8.3033
_cell_length_c 12.9904
_cell_angle_alpha 90.00
_cell_angle_beta 90.00
_cell_angle_gamma 90.00
_symmetry_space_group_name_H-M 'I 4 m m'
_symmetry_Int_Tables_number 107
_symmetry_space_group_name_Hall 'I 4 -2'
loop_
_atom_site_label
_atom_site_fract_x
_atom_site_fract_y
_atom_site_fract_z
_atom_site_occupancy
Ba1 0.0000 0.0000 0.0000 1
Ba2 0.0000 0.0000 0.4801 1
Ba3 0.2329 0.2329 0.7518 1
Na1 0.0000 0.5000 0.0037 1
Ir1 0.0000 0.0000 0.2596 1
N1 0.0000 0.0000 0.7989 1
```

=====

# 7
Calculated powder XRD pattern of Nd2HSe2 for λ = 1.5418 Å (Cu Kα), from DFT lattice parameters and positions (GGA-PBE).

The 8 most intense peaks (10 to 80 degrees two-theta), by intensity:
| h k l | two_theta | I (rel.) |
| --- | --- | --- |
| 0 0 4 | 31.7 | 100.0 |
| 0 4 0 | 34.2 | 96.1 |
| 1 1 0 | 24.3 | 87.8 |
| 1 3 1 | 35.4 | 84.9 |
| 1 1 1 | 25.6 | 81.3 |
| 0 2 2 | 23.2 | 76.2 |
| 1 3 3 | 42.2 | 62.6 |
| 1 1 4 | 40.4 | 57.2 |

Structural model:
```
data_Nd2HSe2
_chemical_formula_sum 'Nd8 H4 Se8'
_cell_length_a 3.9060
_cell_length_b 10.4617
_cell_length_c 11.2836
_cell_angle_alpha 90.00
_cell_angle_beta 90.00
_cell_angle_gamma 90.00
_symmetry_space_group_name_H-M 'C m c 21'
_symmetry_Int_Tables_number 36
loop_
_symmetry_equiv_pos_as_xyz
'x,y,z'
'-x,-y,z+1/2'
'-x,y,z'
'x,-y,z+1/2'
'x+1/2,y+1/2,z'
'-x+1/2,-y+1/2,z+1/2'
'-x+1/2,y+1/2,z'
'x+1/2,-y+1/2,z+1/2'
loop_
_atom_site_label
_atom_site_fract_x
_atom_site_fract_y
_atom_site_fract_z
_atom_site_occupancy
Nd1 0.0000 0.0389 0.0000 1
Nd2 0.0000 0.2362 0.2506 1
H1 0.0000 0.3599 0.6169 1
Se1 0.0000 0.0548 0.7433 1
Se2 0.0000 0.3215 0.9541 1
```

=====

# 8
Calculated powder XRD pattern of Cs6Nd3I14 for λ = 1.5418 Å (Cu Kα), from DFT lattice parameters and positions (GGA-PBE).

The 8 most intense peaks (10 to 80 degrees two-theta), by intensity:
| h k l | two_theta | I (rel.) |
| --- | --- | --- |
| 3 0 1 | 24.8 | 100.0 |
| 3 -1 1 | 22.5 | 96.8 |
| 2 0 2 | 27.6 | 69.4 |
| 3 1 1 | 28.9 | 67.8 |
| 1 3 0 | 26.4 | 55.0 |
| 1 2 3 | 40.5 | 46.3 |
| 0 1 2 | 24.4 | 46.2 |
| 2 2 0 | 25.3 | 44.4 |

Structural model:
```
data_Cs6Nd3I14
_chemical_formula_sum 'Cs6 Nd3 I14'
_cell_length_a 14.0752
_cell_length_b 14.0752
_cell_length_c 7.6423
_cell_angle_alpha 90.00
_cell_angle_beta 90.00
_cell_angle_gamma 120.00
_symmetry_space_group_name_H-M 'P 3'
_symmetry_Int_Tables_number 143
loop_
_symmetry_equiv_pos_as_xyz
'x,y,z'
'-y,x-y,z'
'-x+y,-x,z'
loop_
_atom_site_label
_atom_site_fract_x
_atom_site_fract_y
_atom_site_fract_z
_atom_site_occupancy
Cs1 0.0251 0.5642 0.0000 1
Cs2 0.3061 0.0990 0.5155 1
Nd1 0.0000 0.0000 0.9324 1
Nd2 0.3333 0.6667 0.4197 1
Nd3 0.6667 0.3333 0.2686 1
I1 0.0000 0.0000 0.3289 1
I2 0.0765 0.8480 0.7945 1
I3 0.1840 0.4375 0.2858 1
I4 0.3333 0.6667 0.8164 1
I5 0.4520 0.1948 0.0414 1
I6 0.5266 0.4083 0.4937 1
```

=====

# 9
Calculated powder XRD pattern of KCd3Hg2 for λ = 1.5418 Å (Cu Kα), from DFT lattice parameters and positions (GGA-PBE).

The 8 most intense peaks (10 to 80 degrees two-theta), by intensity:
| h k l | two_theta | I (rel.) |
| --- | --- | --- |
| 1 1 4 | 29.1 | 100.0 |
| 1 1 10 | 39.0 | 87.6 |
| 2 0 0 | 38.3 | 61.9 |
| 1 0 1 | 19.1 | 34.2 |
| 3 1 10 | 69.7 | 31.6 |
| 0 0 6 | 16.6 | 29.3 |
| 3 1 4 | 63.6 | 21.6 |
| 2 2 0 | 55.2 | 21.0 |

Structural model:
```
data_KCd3Hg2
_chemical_formula_sum 'K4 Cd12 Hg8'
_cell_length_a 4.7026
_cell_length_b 4.7026
_cell_length_c 32.0803
_cell_angle_alpha 90.00
_cell_angle_beta 90.00
_cell_angle_gamma 90.00
_symmetry_space_group_name_H-M 'I 4/m m m'
_symmetry_Int_Tables_number 139
_symmetry_space_group_name_Hall '-I 4 2'
loop_
_atom_site_label
_atom_site_fract_x
_atom_site_fract_y
_atom_site_fract_z
_atom_site_occupancy
K1 0.0000 0.0000 0.1472 1
Cd1 0.0000 0.0000 0.3073 1
Cd2 0.0000 0.5000 0.0450 1
Hg1 0.0000 0.0000 0.3964 1
Hg2 0.0000 0.5000 0.2500 1
```

=====

# 10
Calculated powder XRD pattern of Nd10Ga3Te3 for λ = 1.5418 Å (Cu Kα), from DFT lattice parameters and positions (GGA-PBE).

The 8 most intense peaks (10 to 80 degrees two-theta), by intensity:
| h k l | two_theta | I (rel.) |
| --- | --- | --- |
| 2 1 1 | 32.8 | 100.0 |
| 1 1 2 | 33.6 | 84.8 |
| 3 0 0 | 33.9 | 48.0 |
| 2 1 0 | 29.8 | 35.3 |
| 2 1 3 | 51.7 | 27.6 |
| 2 2 2 | 48.4 | 23.4 |
| 1 0 2 | 29.5 | 22.9 |
| 3 0 4 | 67.1 | 20.0 |

Structural model:
```
data_Nd10Ga3Te3
_chemical_formula_sum 'Nd10 Ga3 Te3'
_cell_length_a 9.1704
_cell_length_b 9.1704
_cell_length_c 6.5608
_cell_angle_alpha 90.00
_cell_angle_beta 90.00
_cell_angle_gamma 120.00
_symmetry_space_group_name_H-M 'P -6 2 m'
_symmetry_Int_Tables_number 189
_symmetry_space_group_name_Hall 'P -6 -2'
loop_
_atom_site_label
_atom_site_fract_x
_atom_site_fract_y
_atom_site_fract_z
_atom_site_occupancy
Nd1 0.0000 0.2438 0.0000 1
Nd2 0.0000 0.7539 0.5000 1
Nd3 0.3333 0.6667 0.2451 1
Ga1 0.0000 0.6101 0.0000 1
Te1 0.0000 0.3887 0.5000 1
```

=====

# 11
Calculated powder XRD pattern of LiSm2ScTl4 for λ = 1.5418 Å (Cu Kα), from DFT lattice parameters and positions (GGA-PBE).

The 8 most intense peaks (10 to 80 degrees two-theta), by intensity:
| h k l | two_theta | I (rel.) |
| --- | --- | --- |
| 0 1 8 | 33.7 | 100.0 |
| 1 1 0 | 34.3 | 96.6 |
| 1 2 8 | 61.0 | 36.7 |
| 1 0 4 | 23.9 | 36.3 |
| 2 0 8 | 48.8 | 35.6 |
| 1 0 16 | 59.9 | 18.8 |
| 3 0 0 | 61.4 | 18.4 |
| 0 1 2 | 20.7 | 16.6 |

Structural model:
```
data_LiSm2ScTl4
_chemical_formula_sum 'Li3 Sm6 Sc3 Tl12'
_cell_length_a 5.2300
_cell_length_b 5.2300
_cell_length_c 26.2776
_cell_angle_alpha 90.00
_cell_angle_beta 90.00
_cell_angle_gamma 120.00
_symmetry_space_group_name_H-M 'R -3 m'
_symmetry_Int_Tables_number 166
_symmetry_space_group_name_Hall '-R 3 2"'
loop_
_atom_site_label
_atom_site_fract_x
_atom_site_fract_y
_atom_site_fract_z
_atom_site_occupancy
Li1 0.0000 0.0000 0.0000 1
Sm1 0.0000 0.0000 0.2540 1
Sc1 0.0000 0.0000 0.5000 1
Tl1 0.0000 0.0000 0.1259 1
Tl2 0.0000 0.0000 0.3747 1
```

=====

# 12
Calculated powder XRD pattern of SrBMo2 for λ = 1.5418 Å (Cu Kα), from DFT lattice parameters and positions (GGA-PBE).

The 8 most intense peaks (10 to 80 degrees two-theta), by intensity:
| h k l | two_theta | I (rel.) |
| --- | --- | --- |
| 2 1 1 | 32.5 | 100.0 |
| 2 0 2 | 34.0 | 47.5 |
| 2 0 0 | 27.6 | 30.3 |
| 3 2 1 | 52.0 | 25.9 |
| 2 2 4 | 57.1 | 22.6 |
| 1 0 1 | 16.8 | 13.7 |
| 4 2 2 | 68.0 | 11.9 |
| 4 1 3 | 67.2 | 11.9 |

Structural model:
```
data_SrBMo2
_chemical_formula_sum 'Sr4 B4 Mo8'
_cell_length_a 6.4659
_cell_length_b 6.4659
_cell_length_c 9.1123
_cell_angle_alpha 90.00
_cell_angle_beta 90.00
_cell_angle_gamma 90.00
_symmetry_space_group_name_H-M 'I 41/a m d'
_symmetry_Int_Tables_number 141
loop_
_symmetry_equiv_pos_as_xyz
'x,y,z'
'-x,-y,-z'
'-y+1/4,x+3/4,z+1/4'
'y+1/4,-x+3/4,-z+1/4'
'-x+1/2,-y,z+1/2'
'x+1/2,y,-z+1/2'
'y+1/4,-x+1/4,z+3/4'
'-y+1/4,x+1/4,-z+3/4'
'x,-y,-z'
'-x,y,z'
'-y+1/4,-x+1/4,-z+3/4'
'y+1/4,x+1/4,z+3/4'
'-x+1/2,y,-z+1/2'
'x+1/2,-y,z+1/2'
'y+1/4,x+3/4,-z+1/4'
'-y+1/4,-x+3/4,z+1/4'
'x+1/2,y+1/2,z+1/2'
'-x+1/2,-y+1/2,-z+1/2'
'-y+3/4,x+1/4,z+3/4'
'y+3/4,-x+1/4,-z+3/4'
'-x,-y+1/2,z'
'x,y+1/2,-z'
'y+3/4,-x+3/4,z+1/4'
'-y+3/4,x+3/4,-z+1/4'
'x+1/2,-y+1/2,-z+1/2'
'-x+1/2,y+1/2,z+1/2'
'-y+3/4,-x+3/4,-z+1/4'
'y+3/4,x+3/4,z+1/4'
'-x,y+1/2,-z'
'x,-y+1/2,z'
'y+3/4,x+1/4,-z+3/4'
'-y+3/4,-x+1/4,z+3/4'
loop_
_atom_site_label
_atom_site_fract_x
_atom_site_fract_y
_atom_site_fract_z
_atom_site_occupancy
Sr1 0.0000 0.2500 0.3750 1
B1 0.0000 0.2500 0.8750 1
Mo1 0.0000 0.0000 0.0000 1
```